Diffraction record for ZrVI6. The powder diffraction line list is computed, not measured: it uses the GGA-PBE geometry in Alexandria and λ = 1.5418 Å (Cu Kα).
Peak positions follow from Bragg's law for the DFT cell and can differ from measured ones.

Atomic structure:
Cell lengths 6.9891, 14.1784, 6.9935 Å; angles 90.00, 109.72, 90.00 degrees
Space group C2/m (No. 12)
One atom of each set of equivalent atoms:
Zr1 0.0000 0.0000 0.0000 x2
V1 0.0000 0.5000 0.5000 x2
I1 0.2432 0.3562 0.7444 x8
I2 0.2485 0.0000 0.7507 x4

Largest 8 diffraction maxima, in order of rising 2θ, 15° ≤ 2θ ≤ 90°:
two_theta, I/Imax, index
16.72, 23, 1 1 -1
24.44, 68, 1 3 -1
27.10, 61, 2 0 0
29.15, 100, 1 3 1
31.29, 46, 2 0 -2
38.08, 17, 0 6 0
43.29, 67, 1 3 -3
55.88, 17, 0 0 4